# Ba2Si3O8
Computed powder X-ray diffraction pattern, a wavelength of 1.5418 Å. Input: a cell relaxed with PBE.
No peak broadening, texture or thermal motion is included.

Largest 8 diffraction maxima, in order of rising 2θ, 2θ = 10–90°:
2θ = 23.5°, I 1000, (2 1 0); 2θ = 23.9°, I 518, (3 0 -2); 2θ = 26.6°, I 438, (1 0 4); 2θ = 27.1°, I 485, (2 1 2); 2θ = 32.0°, I 366, (1 1 -4); 2θ = 37.9°, I 279, (0 2 0); 2θ = 39.2°, I 237, (3 1 4); 2θ = 41.8°, I 405, (5 1 -2)

Crystal structure
Lattice parameters (Å, degrees): 12.6445 4.7457 14.1574 90.00 93.49 90.00
Space group P2_1 (No. 4)
Inequivalent atoms, fractional coordinates:
Ba 0.0819 0.0000 0.1110 (multiplicity 2)
Ba 0.0825 0.0411 0.6112 (multiplicity 2)
Ba 0.3555 0.5249 0.5311 (multiplicity 2)
Ba 0.3569 0.5397 0.0339 (multiplicity 2)
Si 0.1502 0.0685 0.8893 (multiplicity 2)
Si 0.1510 0.9746 0.3894 (multiplicity 2)
Si 0.2230 0.5670 0.7762 (multiplicity 2)
Si 0.2257 0.4674 0.2766 (multiplicity 2)
Si 0.4696 0.4718 0.8119 (multiplicity 2)
Si 0.4766 0.4697 0.3126 (multiplicity 2)
O 0.0302 0.0397 0.4150 (multiplicity 2)
O 0.0307 0.9919 0.9158 (multiplicity 2)
O 0.1408 0.3960 0.8433 (multiplicity 2)
O 0.1504 0.6405 0.3492 (multiplicity 2)
O 0.1850 0.1396 0.2909 (multiplicity 2)
O 0.1889 0.8984 0.7933 (multiplicity 2)
O 0.2129 0.5009 0.6655 (multiplicity 2)
O 0.2134 0.5472 0.1669 (multiplicity 2)
O 0.2343 0.0168 0.4795 (multiplicity 2)
O 0.2342 0.0462 0.9798 (multiplicity 2)
O 0.3418 0.5096 0.8284 (multiplicity 2)
O 0.3477 0.4963 0.3247 (multiplicity 2)
O 0.4649 0.0474 0.5877 (multiplicity 2)
O 0.4668 0.0493 0.0905 (multiplicity 2)
O 0.4935 0.1396 0.7842 (multiplicity 2)
O 0.4959 0.6388 0.7137 (multiplicity 2)

***

# BaSiO4
Computed powder X-ray diffraction pattern, a wavelength of 1.5418 Å. Input: a cell relaxed with PBE.
No peak broadening, texture or thermal motion is included.

Largest 8 diffraction maxima, in order of rising 2θ, 2θ = 10–90°:
2θ = 17.1°, I 317, (1 1 0); 2θ = 21.1°, I 514, (-1 1 1); 2θ = 23.3°, I 1000, (0 0 2); 2θ = 24.4°, I 970, (0 2 0); 2θ = 27.4°, I 515, (2 0 1); 2θ = 27.6°, I 645, (2 0 -1); 2θ = 33.8°, I 272, (0 2 2); 2θ = 36.7°, I 374, (2 2 -1)

Crystal structure
Lattice parameters (Å, degrees): 7.1607 7.2971 7.6473 89.35 89.59 88.28
Space group P-1 (No. 2)
Inequivalent atoms, fractional coordinates:
Ba 0.0717 0.2906 0.2091 (multiplicity 2)
Ba 0.3907 0.2325 0.7080 (multiplicity 2)
Si 0.1130 0.7729 0.2935 (multiplicity 2)
Si 0.4275 0.7457 0.7937 (multiplicity 2)
O 0.0123 0.3203 0.8578 (multiplicity 2)
O 0.0284 0.1616 0.5486 (multiplicity 2)
O 0.2319 0.9419 0.2061 (multiplicity 2)
O 0.2564 0.6048 0.3618 (multiplicity 2)
O 0.2806 0.9062 0.8665 (multiplicity 2)
O 0.2981 0.5934 0.7024 (multiplicity 2)
O 0.4369 0.3381 0.0517 (multiplicity 2)
O 0.4387 0.1655 0.3588 (multiplicity 2)

***

# BaSi2O9
Computed powder X-ray diffraction pattern, a wavelength of 1.5418 Å. Input: a cell relaxed with PBE.
No peak broadening, texture or thermal motion is included.

Largest 8 diffraction maxima, in order of rising 2θ, 2θ = 10–90°:
2θ = 11.1°, I 388, (0 0 2); 2θ = 20.8°, I 415, (1 1 1); 2θ = 22.2°, I 274, (0 0 4); 2θ = 25.3°, I 1000, (0 2 2); 2θ = 26.1°, I 934, (1 1 3); 2θ = 27.8°, I 268, (1 0 4); 2θ = 35.3°, I 237, (2 1 0); 2θ = 37.1°, I 412, (2 1 2)

Crystal structure
Lattice parameters (Å, degrees): 5.3760 7.8358 16.0095 90.00 90.00 90.00
Space group Pnma (No. 62)
Inequivalent atoms, fractional coordinates:
Ba 0.1803 0.2500 0.0187 (multiplicity 4)
Si 0.1856 0.5428 0.7991 (multiplicity 8)
O 0.0624 0.5265 0.2519 (multiplicity 8)
O 0.1344 0.1103 0.5859 (multiplicity 8)
O 0.1681 0.0163 0.8963 (multiplicity 8)
O 0.1772 0.7500 0.7911 (multiplicity 4)
O 0.1832 0.2500 0.4530 (multiplicity 4)
O 0.2026 0.2500 0.6240 (multiplicity 4)

***

# Ba2Si3O8
Computed powder X-ray diffraction pattern, a wavelength of 1.5418 Å. Input: a cell relaxed with PBE.
No peak broadening, texture or thermal motion is included.

Largest 8 diffraction maxima, in order of rising 2θ, 2θ = 10–90°:
2θ = 23.4°, I 1000, (2 1 0); 2θ = 23.9°, I 517, (3 0 -2); 2θ = 26.6°, I 425, (1 0 4); 2θ = 27.0°, I 471, (2 1 2); 2θ = 32.0°, I 356, (1 1 -4); 2θ = 37.8°, I 274, (0 2 0); 2θ = 39.2°, I 237, (3 1 4); 2θ = 41.8°, I 402, (5 1 -2)

Crystal structure
Lattice parameters (Å, degrees): 12.6649 4.7558 14.1490 90.00 93.47 90.00
Space group P2_1/c (No. 14)
Inequivalent atoms, fractional coordinates:
Ba 0.0825 0.2267 0.1103 (multiplicity 4)
Ba 0.3559 0.7446 0.0325 (multiplicity 4)
Si 0.1490 0.1864 0.3891 (multiplicity 4)
Si 0.2239 0.6797 0.2770 (multiplicity 4)
Si 0.4732 0.6798 0.3123 (multiplicity 4)
O 0.0286 0.2484 0.4158 (multiplicity 4)
O 0.1485 0.6464 0.8491 (multiplicity 4)
O 0.1808 0.1460 0.7902 (multiplicity 4)
O 0.2138 0.7373 0.6675 (multiplicity 4)
O 0.2332 0.2318 0.4783 (multiplicity 4)
O 0.3449 0.7008 0.3275 (multiplicity 4)
O 0.4659 0.2360 0.5896 (multiplicity 4)
O 0.4977 0.6491 0.7144 (multiplicity 4)

***

# BaSiO3
Computed powder X-ray diffraction pattern, a wavelength of 1.5418 Å. Input: a cell relaxed with PBE.
No peak broadening, texture or thermal motion is included.

Largest 8 diffraction maxima, in order of rising 2θ, 2θ = 10–90°:
2θ = 16.6°, I 385, (0 0 2); 2θ = 23.5°, I 842, (0 2 0); 2θ = 28.8°, I 1000, (3 1 1); 2θ = 29.0°, I 494, (3 1 -3); 2θ = 41.2°, I 647, (6 0 -2); 2θ = 41.4°, I 212, (0 2 4); 2θ = 41.6°, I 210, (3 1 -5); 2θ = 44.6°, I 216, (6 0 0)

Crystal structure
Lattice parameters (Å, degrees): 13.1202 7.5966 11.4782 90.00 111.80 90.00
Space group C2/c (No. 15)
Inequivalent atoms, fractional coordinates:
Ba 0.0878 0.2378 0.4990 (multiplicity 8)
Ba 0.2500 0.2500 0.0000 (multiplicity 4)
Si 0.0000 0.1793 0.7500 (multiplicity 4)
Si 0.1187 0.4630 0.2464 (multiplicity 8)
O 0.0000 0.3794 0.2500 (multiplicity 4)
O 0.0445 0.0763 0.8824 (multiplicity 8)
O 0.1013 0.3158 0.7483 (multiplicity 8)
O 0.1248 0.4127 0.1128 (multiplicity 8)
O 0.2146 0.4116 0.3782 (multiplicity 8)

***

# BaSiO3
Computed powder X-ray diffraction pattern, a wavelength of 1.5418 Å. Input: a cell relaxed with PBE.
No peak broadening, texture or thermal motion is included.

Largest 8 diffraction maxima, in order of rising 2θ, 2θ = 10–90°:
2θ = 22.9°, I 308, (1 0 2); 2θ = 27.5°, I 610, (1 0 3); 2θ = 32.4°, I 1000, (1 1 0); 2θ = 32.8°, I 655, (1 0 4); 2θ = 40.1°, I 260, (2 0 2); 2θ = 43.0°, I 417, (2 0 3); 2θ = 46.8°, I 424, (2 0 4); 2θ = 58.1°, I 262, (2 1 4)

Crystal structure
Lattice parameters (Å, degrees): 5.5183 5.5183 13.2803 90.00 90.00 120.00
Space group P6_3/mmc (No. 194)
Inequivalent atoms, fractional coordinates:
Ba 0.0000 0.0000 0.2500 (multiplicity 2)
Ba 0.3333 0.6667 0.0952 (multiplicity 4)
Si 0.0000 0.0000 0.0000 (multiplicity 2)
Si 0.3333 0.6667 0.6562 (multiplicity 4)
O 0.0496 0.5248 0.7500 (multiplicity 6)
O 0.1666 0.3332 0.5801 (multiplicity 12)